# MgMn6O4F8
Theoretical XRD peak list, a wavelength of 1.5418 Å. Input: a cell relaxed with GGA+U.

Structural model:
a b c (Å): 5.1921 5.8566 8.0854
angles (deg): 86.11 89.59 87.07
Positions (direct):
Mg 0.0000 0.0000 0.0000
Mn 0.0045 0.3801 0.2118
Mn 0.0038 0.9917 0.5100
Mn 0.1838 0.6003 0.8126
Mn 0.4640 0.1410 0.8492
Mn 0.5076 0.8332 0.1835
Mn 0.5226 0.4837 0.5065
O 0.1710 0.3012 0.9531
O 0.1974 0.7095 0.5768
O 0.3375 0.8573 0.9399
O 0.8324 0.2790 0.4311
F 0.1552 0.0102 0.2476
F 0.2979 0.1726 0.5998
F 0.3647 0.5144 0.2611
F 0.5960 0.4427 0.7691
F 0.6907 0.1466 0.0889
F 0.7133 0.8043 0.4144
F 0.8136 0.9896 0.7792
F 0.8679 0.6916 0.0798

Peak list (10 most intense, 2θ = 15–90°, in order of rising 2θ)
| 2θ (°) | d (Å) | I_rel | h k l |
| --- | --- | --- | --- |
| 20.35 | 4.364 | 19.4 | 1 0 1 |
| 24.46 | 3.639 | 100.0 | 1 1 1 |
| 25.60 | 3.480 | 60.1 | -1 1 1 |
| 32.37 | 2.765 | 25.1 | 1 1 -2 |
| 33.13 | 2.704 | 24.8 | 1 -1 2 |
| 33.34 | 2.688 | 66.7 | 0 0 3 |
| 40.09 | 2.249 | 25.8 | -2 1 1 |
| 49.18 | 1.852 | 26.6 | 1 3 0 |
| 49.68 | 1.835 | 28.6 | 1 1 4 |
| 57.27 | 1.609 | 26.8 | 0 2 -4 |